# 1
# LiAc6Cd
Computed powder X-ray diffraction pattern, copper Kα. Input: a DFT-relaxed cell (PBE, Alexandria).
No peak broadening, texture or thermal motion is included.

Structural model:
```
data_LiAc6Cd
_chemical_formula_sum 'Li2 Ac12 Cd2'
_space_group_name_H-M_alt 'I 4/m m m'
_space_group_IT_number 139
_space_group_name_Hall '-I 4 2'
_cell_length_a 5.669
_cell_length_b 5.669
_cell_length_c 19.588
_cell_angle_alpha 90.00
_cell_angle_beta 90.00
_cell_angle_gamma 90.00
loop_
_atom_site_label
_atom_site_fract_x
_atom_site_fract_y
_atom_site_fract_z
Li1 0.000 0.000 0.000
Ac1 0.000 0.000 0.250
Ac2 0.000 0.500 0.107
Cd1 0.000 0.000 0.500
```

Main lines, sorted by position (2θ = 5–70°):
| 2θ (°) | I/Imax |
| --- | --- |
| 23.99 | 22 |
| 27.32 | 12 |
| 28.78 | 100 |
| 31.56 | 45 |
| 36.69 | 11 |
| 42.22 | 15 |
| 45.24 | 17 |
| 49.17 | 17 |
| 51.96 | 14 |
| 54.51 | 35 |



# 2
# Ba3Zn3Ga2
Computed powder X-ray diffraction pattern, copper Kα. Input: a DFT-relaxed cell (PBE, Alexandria).
No peak broadening, texture or thermal motion is included.

Structural model:
```
data_Ba3Zn3Ga2
_chemical_formula_sum 'Ba12 Zn12 Ga8'
_space_group_name_H-M_alt 'C m c m'
_space_group_IT_number 63
_space_group_name_Hall '-C 2c 2'
_cell_length_a 4.526
_cell_length_b 12.627
_cell_length_c 16.718
_cell_angle_alpha 90.00
_cell_angle_beta 90.00
_cell_angle_gamma 90.00
loop_
_atom_site_label
_atom_site_fract_x
_atom_site_fract_y
_atom_site_fract_z
Ba1 0.000 0.066 0.104
Ba2 0.000 0.364 0.250
Zn1 0.000 0.328 0.033
Zn2 0.000 0.337 0.750
Ga1 0.000 0.221 0.604
```

Main lines, sorted by position (2θ = 5–70°):
| 2θ (°) | I/Imax |
| --- | --- |
| 28.97 | 38 |
| 29.47 | 56 |
| 29.95 | 100 |
| 32.12 | 26 |
| 32.60 | 47 |
| 33.22 | 35 |
| 36.21 | 27 |
| 39.83 | 41 |
| 48.20 | 34 |
| 52.39 | 24 |



# 3
# ThSc3Co2
Computed powder X-ray diffraction pattern, copper Kα. Input: a DFT-relaxed cell (PBE, Alexandria).
No peak broadening, texture or thermal motion is included.

Structural model:
```
data_ThSc3Co2
_chemical_formula_sum 'Th4 Sc12 Co8'
_space_group_name_H-M_alt 'C 1 2/m 1'
_space_group_IT_number 12
_cell_length_a 15.764
_cell_length_b 3.642
_cell_length_c 9.208
_cell_angle_alpha 90.00
_cell_angle_beta 112.44
_cell_angle_gamma 90.00
loop_
_space_group_symop_operation_xyz
'x,y,z'
'-x,-y,-z'
'-x,y,-z'
'x,-y,z'
'x+1/2,y+1/2,z'
'-x+1/2,-y+1/2,-z'
'-x+1/2,y+1/2,-z'
'x+1/2,-y+1/2,z'
loop_
_atom_site_label
_atom_site_fract_x
_atom_site_fract_y
_atom_site_fract_z
Th1 0.126 0.000 0.168
Sc1 0.029 0.000 0.676
Sc2 0.159 0.500 0.513
Sc3 0.172 0.500 0.895
Co1 0.002 0.500 0.864
Co2 0.223 0.000 0.741
```

Main lines, sorted by position (2θ = 5–70°):
| 2θ (°) | I/Imax |
| --- | --- |
| 10.39 | 92 |
| 12.62 | 100 |
| 19.74 | 51 |
| 20.88 | 36 |
| 31.54 | 42 |
| 33.05 | 82 |
| 34.46 | 87 |
| 34.75 | 81 |
| 37.76 | 94 |
| 50.09 | 44 |



# 4
# ZnIr2O4
Computed powder X-ray diffraction pattern, copper Kα. Input: a DFT-relaxed cell (PBE, Alexandria).
No peak broadening, texture or thermal motion is included.

Structural model:
abc: 8.752 8.752 8.752
angles: 90.00 90.00 90.00
Space group Fd-3m (No. 227, origin choice 2)
Unique sites:
Zn: 0.125 0.125 0.125 x8
Ir: 0.000 0.000 0.500 x16
O: 0.012 0.012 0.738 x32

Main lines, sorted by position (2θ = 5–70°):
| 2θ (°) | I/Imax |
| --- | --- |
| 17.55 | 63 |
| 28.85 | 7 |
| 33.97 | 100 |
| 35.53 | 52 |
| 41.26 | 35 |
| 45.16 | 13 |
| 51.13 | 3 |
| 54.48 | 37 |
| 59.77 | 44 |
| 62.82 | 13 |



# 5
# Sr3OsN3
Computed powder X-ray diffraction pattern, copper Kα. Input: a DFT-relaxed cell (PBE, Alexandria).
No peak broadening, texture or thermal motion is included.

Structural model:
```
data_Sr3OsN3
_chemical_formula_sum 'Sr6 Os2 N6'
_space_group_name_H-M_alt 'P 63/m'
_space_group_IT_number 176
_space_group_name_Hall '-P 6c'
_cell_length_a 7.8115
_cell_length_b 7.8115
_cell_length_c 5.3506
_cell_angle_alpha 90.00
_cell_angle_beta 90.00
_cell_angle_gamma 120.00
loop_
_atom_site_label
_atom_site_fract_x
_atom_site_fract_y
_atom_site_fract_z
Sr1 0.0971 0.3577 0.2500
Os1 0.3333 0.6667 0.7500
N1 0.1077 0.4159 0.7500
```

Main lines, sorted by position (2θ = 5–70°):
| 2θ (°) | I/Imax |
| --- | --- |
| 13.09 | 33 |
| 21.17 | 33 |
| 26.35 | 25 |
| 28.29 | 26 |
| 31.29 | 100 |
| 33.50 | 37 |
| 39.04 | 27 |
| 39.98 | 20 |
| 53.12 | 20 |
| 58.51 | 26 |



# 6
# Li4Mg5Zn
Computed powder X-ray diffraction pattern, copper Kα. Input: a DFT-relaxed cell (PBE, Alexandria).
No peak broadening, texture or thermal motion is included.

Structural model:
```
data_Li4Mg5Zn
_chemical_formula_sum 'Li4 Mg5 Zn1'
_space_group_name_H-M_alt 'P 4/m m m'
_space_group_IT_number 123
_space_group_name_Hall '-P 4 2'
_cell_length_a 3.449
_cell_length_b 3.449
_cell_length_c 16.466
_cell_angle_alpha 90.00
_cell_angle_beta 90.00
_cell_angle_gamma 90.00
loop_
_atom_site_label
_atom_site_fract_x
_atom_site_fract_y
_atom_site_fract_z
Li1 0.000 0.000 0.101
Li2 0.000 0.000 0.305
Mg1 0.500 0.500 0.000
Mg2 0.500 0.500 0.203
Mg3 0.500 0.500 0.404
Zn1 0.000 0.000 0.500
```

Main lines, sorted by position (2θ = 5–70°):
| 2θ (°) | I/Imax |
| --- | --- |
| 5.37 | 100 |
| 10.75 | 24 |
| 16.15 | 10 |
| 26.40 | 11 |
| 28.05 | 10 |
| 36.85 | 27 |
| 37.77 | 50 |
| 53.10 | 9 |
| 66.99 | 17 |
| 68.79 | 8 |